Simulated powder diffraction line list
Compound: MgNi4S8
Radiation: Cu Kα (weighted mean of Kα1 and Kα2)
Structure: a structure optimized by DFT (PBE)
Lines closer than 0.1° are merged.

Crystal structure
a b c (Å): 6.882 6.882 6.894
angles (deg): 119.96 119.96 60.21
Sites, in units of the cell vectors:
Mg1 0.000 0.000 0.000
Ni1 0.137 0.621 0.381
Ni2 0.620 0.620 0.381
Ni3 0.621 0.137 0.381
Ni4 0.621 0.621 0.864
S1 0.389 0.389 0.173
S2 0.389 0.389 0.611
S3 0.391 0.829 0.612
S4 0.424 0.857 0.143
S5 0.829 0.391 0.612
S6 0.857 0.424 0.143
S7 0.858 0.858 0.576
S8 0.859 0.859 0.144

Largest 10 diffraction maxima, most intense first, 2θ from 10° to 90°:
| 2θ (°) | I (rel.) |
| --- | --- |
| 15.75 | 100.0 |
| 36.85 | 55.2 |
| 30.41 | 41.5 |
| 53.13 | 40.0 |
| 36.98 | 27.5 |
| 48.49 | 24.2 |
| 53.24 | 20.0 |
| 48.64 | 11.8 |
| 66.43 | 10.8 |
| 55.75 | 8.6 |

=====

Simulated powder diffraction line list
Compound: MgNi4S8
Radiation: Cu Kα (weighted mean of Kα1 and Kα2)
Structure: a structure optimized by DFT (PBE)
Lines closer than 0.1° are merged.

Crystal structure
a b c (Å): 6.845 6.845 6.845
angles (deg): 60.08 60.08 60.08
Sites, in units of the cell vectors:
Mg1 0.000 0.000 0.000
Ni1 0.000 0.500 0.500
Ni2 0.500 0.000 0.500
Ni3 0.500 0.500 0.000
Ni4 0.500 0.500 0.500
S1 0.261 0.261 0.709
S2 0.261 0.709 0.261
S3 0.264 0.264 0.264
S4 0.291 0.739 0.739
S5 0.709 0.261 0.261
S6 0.736 0.736 0.736
S7 0.739 0.291 0.739
S8 0.739 0.739 0.291

Largest 10 diffraction maxima, most intense first, 2θ from 10° to 90°:
| 2θ (°) | I (rel.) |
| --- | --- |
| 37.13 | 100.0 |
| 15.85 | 99.4 |
| 53.52 | 60.2 |
| 30.61 | 27.9 |
| 48.87 | 23.2 |
| 56.18 | 17.8 |
| 66.90 | 14.1 |
| 79.10 | 8.0 |
| 69.26 | 7.2 |
| 40.60 | 4.9 |

=====

Simulated powder diffraction line list
Compound: MgTiNiS4
Radiation: Cu Kα (weighted mean of Kα1 and Kα2)
Structure: a structure optimized by DFT (PBE)
Lines closer than 0.1° are merged.

Crystal structure
a b c (Å): 7.197 7.197 7.252
angles (deg): 120.23 120.23 59.08
Sites, in units of the cell vectors:
Mg1 0.122 0.122 0.372
Mg2 0.878 0.878 0.628
Ti1 0.000 0.500 0.000
Ti2 0.500 0.000 0.000
Ni1 0.500 0.500 0.000
Ni2 0.500 0.500 0.500
S1 0.262 0.262 0.781
S2 0.265 0.265 0.246
S3 0.273 0.705 0.241
S4 0.295 0.727 0.759
S5 0.705 0.273 0.241
S6 0.727 0.295 0.759
S7 0.735 0.735 0.754
S8 0.738 0.738 0.219

Largest 10 diffraction maxima, most intense first, 2θ from 10° to 90°:
| 2θ (°) | I (rel.) |
| --- | --- |
| 35.39 | 100.0 |
| 50.74 | 96.3 |
| 15.20 | 84.1 |
| 28.99 | 58.2 |
| 35.15 | 51.8 |
| 14.98 | 38.0 |
| 46.70 | 32.9 |
| 29.35 | 29.0 |
| 50.33 | 26.0 |
| 46.22 | 24.3 |

=====

Simulated powder diffraction line list
Compound: Mg2Ni3WS8
Radiation: Cu Kα (weighted mean of Kα1 and Kα2)
Structure: a structure optimized by DFT (PBE)
Lines closer than 0.1° are merged.

Crystal structure
a b c (Å): 7.100 7.100 7.128
angles (deg): 119.83 119.83 60.09
Sites, in units of the cell vectors:
Mg1 0.131 0.131 0.393
Mg2 0.869 0.869 0.607
Ni1 0.000 0.500 0.000
Ni2 0.500 0.000 0.000
Ni3 0.500 0.500 0.000
W1 0.500 0.500 0.500
S1 0.261 0.261 0.233
S2 0.261 0.711 0.233
S3 0.270 0.270 0.811
S4 0.289 0.739 0.767
S5 0.711 0.261 0.233
S6 0.730 0.730 0.189
S7 0.739 0.289 0.767
S8 0.739 0.739 0.767

Largest 10 diffraction maxima, most intense first, 2θ from 10° to 90°:
| 2θ (°) | I (rel.) |
| --- | --- |
| 15.27 | 100.0 |
| 29.41 | 75.4 |
| 35.68 | 66.7 |
| 51.46 | 30.2 |
| 51.25 | 28.3 |
| 46.96 | 22.5 |
| 46.90 | 17.7 |
| 17.62 | 14.2 |
| 53.76 | 10.7 |
| 25.08 | 10.3 |

=====

Simulated powder diffraction line list
Compound: MgZn2Ni4S8
Radiation: Cu Kα (weighted mean of Kα1 and Kα2)
Structure: a structure optimized by DFT (PBE)
Lines closer than 0.1° are merged.

Crystal structure
a b c (Å): 6.628 6.628 7.976
angles (deg): 114.15 114.15 90.12
Sites, in units of the cell vectors:
Mg1 0.000 0.000 0.000
Zn1 0.482 0.518 0.000
Zn2 0.740 0.260 0.500
Ni1 0.072 0.846 0.663
Ni2 0.152 0.435 0.332
Ni3 0.154 0.928 0.337
Ni4 0.565 0.848 0.668
S1 0.338 0.643 0.706
S2 0.341 0.091 0.711
S3 0.357 0.164 0.297
S4 0.357 0.662 0.294
S5 0.836 0.643 0.703
S6 0.843 0.091 0.715
S7 0.909 0.157 0.285
S8 0.909 0.659 0.289

Largest 10 diffraction maxima, most intense first, 2θ from 10° to 90°:
| 2θ (°) | I (rel.) |
| --- | --- |
| 13.62 | 100.0 |
| 30.91 | 94.1 |
| 23.36 | 76.4 |
| 24.46 | 69.2 |
| 24.62 | 66.4 |
| 55.45 | 63.2 |
| 47.81 | 60.2 |
| 50.08 | 57.1 |
| 15.00 | 56.1 |
| 38.41 | 52.4 |

=====

Simulated powder diffraction line list
Compound: MgZn2Ni4S8
Radiation: Cu Kα (weighted mean of Kα1 and Kα2)
Structure: a structure optimized by DFT (PBE)
Lines closer than 0.1° are merged.

Crystal structure
a b c (Å): 7.359 7.359 6.624
angles (deg): 116.66 116.66 55.18
Sites, in units of the cell vectors:
Mg1 0.000 0.000 0.000
Zn1 0.542 0.542 0.041
Zn2 0.723 0.723 0.724
Ni1 0.145 0.644 0.395
Ni2 0.171 0.171 0.910
Ni3 0.173 0.173 0.432
Ni4 0.644 0.145 0.395
S1 0.320 0.909 0.614
S2 0.399 0.399 0.629
S3 0.400 0.400 0.170
S4 0.400 0.954 0.175
S5 0.864 0.864 0.593
S6 0.865 0.865 0.138
S7 0.909 0.320 0.614
S8 0.954 0.400 0.175

Largest 10 diffraction maxima, most intense first, 2θ from 10° to 90°:
| 2θ (°) | I (rel.) |
| --- | --- |
| 50.28 | 100.0 |
| 30.55 | 84.9 |
| 27.33 | 56.7 |
| 31.06 | 54.0 |
| 37.88 | 47.0 |
| 31.82 | 40.4 |
| 27.14 | 34.1 |
| 49.31 | 34.0 |
| 49.87 | 32.2 |
| 24.53 | 31.0 |

=====

Copy entry 3 word for word.
Simulated powder diffraction line list
Compound: MgTiNiS4
Radiation: Cu Kα (weighted mean of Kα1 and Kα2)
Structure: a structure optimized by DFT (PBE)
Lines closer than 0.1° are merged.

Crystal structure
a b c (Å): 7.197 7.197 7.252
angles (deg): 120.23 120.23 59.08
Sites, in units of the cell vectors:
Mg1 0.122 0.122 0.372
Mg2 0.878 0.878 0.628
Ti1 0.000 0.500 0.000
Ti2 0.500 0.000 0.000
Ni1 0.500 0.500 0.000
Ni2 0.500 0.500 0.500
S1 0.262 0.262 0.781
S2 0.265 0.265 0.246
S3 0.273 0.705 0.241
S4 0.295 0.727 0.759
S5 0.705 0.273 0.241
S6 0.727 0.295 0.759
S7 0.735 0.735 0.754
S8 0.738 0.738 0.219

Largest 10 diffraction maxima, most intense first, 2θ from 10° to 90°:
| 2θ (°) | I (rel.) |
| --- | --- |
| 35.39 | 100.0 |
| 50.74 | 96.3 |
| 15.20 | 84.1 |
| 28.99 | 58.2 |
| 35.15 | 51.8 |
| 14.98 | 38.0 |
| 46.70 | 32.9 |
| 29.35 | 29.0 |
| 50.33 | 26.0 |
| 46.22 | 24.3 |